Entry 1:
Starting from DFT lattice parameters and positions (GGA-PBE), the powder XRD pattern of Zr3Cd3Hg2 was simulated for Cu Ka.
Neutral-atom scattering factors, no anomalous dispersion.

Main lines, by angle (10° ≤ 2θ ≤ 80°):
hkl  d_spacing  2θ (°)  I_rel
1 1 2  2.543  35.29  100
0 2 0  2.310  38.99  19
2 0 0  2.303  39.11  19
0 0 4  2.030  44.63  13
2 2 0  1.631  56.42  13
2 0 4  1.524  60.78  20
1 3 2  1.374  68.25  14
3 1 2  1.371  68.41  14

```
data_Zr3Cd3Hg2
_symmetry_space_group_name_H-M 'P m m m'
_symmetry_Int_Tables_number 47
_cell_length_a 4.606
_cell_length_b 4.620
_cell_length_c 8.121
_cell_angle_alpha 90.00
_cell_angle_beta 90.00
_cell_angle_gamma 90.00
loop_
_symmetry_equiv_pos_as_xyz
'x,y,z'
'-x,-y,-z'
'-x,-y,z'
'x,y,-z'
'x,-y,-z'
'-x,y,z'
'-x,y,-z'
'x,-y,z'
loop_
_atom_site_label
_atom_site_fract_x
_atom_site_fract_y
_atom_site_fract_z
Zr1 0.000 0.000 0.000
Zr2 0.000 0.000 0.500
Zr3 0.500 0.500 0.000
Cd1 0.000 0.500 0.255
Cd2 0.500 0.500 0.500
Hg1 0.500 0.000 0.252
```



Entry 2:
Starting from DFT lattice parameters and positions (GGA-PBE), the powder XRD pattern of LaNdYSc was simulated for Cu Ka.
Neutral-atom scattering factors, no anomalous dispersion.

Main lines, by angle (10° ≤ 2θ ≤ 80°):
hkl  d_spacing  2θ (°)  I_rel
0 0 1  3.657  24.34  10
3 1 0  3.228  27.63  15
4 0 0  2.922  30.60  25
0 2 0  2.884  31.01  28
3 1 -1  2.808  31.87  100
4 2 0  2.052  44.12  18
3 3 -1  1.650  55.70  22
2 2 -2  1.601  57.56  9

```
data_LaNdYSc
_symmetry_space_group_name_H-M 'C 1 m 1'
_symmetry_Int_Tables_number 8
_cell_length_a 12.295
_cell_length_b 5.768
_cell_length_c 3.850
_cell_angle_alpha 90.00
_cell_angle_beta 108.10
_cell_angle_gamma 90.00
loop_
_symmetry_equiv_pos_as_xyz
'x,y,z'
'x,-y,z'
'x+1/2,y+1/2,z'
'x+1/2,-y+1/2,z'
loop_
_atom_site_label
_atom_site_fract_x
_atom_site_fract_y
_atom_site_fract_z
La1 0.000 0.000 0.000
Nd1 0.228 0.500 0.211
Y1 0.267 0.000 0.752
Sc1 0.495 0.000 0.485
```